# GaWSe
Calculated X-ray powder pattern, copper Kα. Input: a DFT-relaxed cell (PBE, Alexandria).
Neutral-atom scattering factors, no anomalous dispersion.

Atomic structure:
Cell lengths 2.8250, 3.6719, 13.0863 Å; angles 89.24, 89.13, 81.59 degrees
Fractional positions:
Ga 0.2355 0.2398 0.2328
Ga 0.7645 0.7602 0.7672
W 0.2534 0.7523 0.9445
W 0.7466 0.2477 0.0555
Se 0.2274 0.7348 0.3601
Se 0.7726 0.2652 0.6399

Top 10 peaks for 2θ = 15–90°, low angle first:
d/Å	2θ (°)	Rel. int.
4.361	20.4	73
3.191	28.0	80
3.161	28.2	76
2.557	35.1	35
2.340	38.5	34
2.136	42.3	77
2.112	42.8	100
1.976	45.9	35
1.869	48.7	40
1.816	50.2	39